For Tl3PbBr5, a crystal structure in Alexandria, relaxed with PBE gives the calculated powder XRD pattern in this record (λ = 1.5418 Å (Cu Kα)).

Crystal structure
Lattice parameters (Å, degrees): 8.6648 9.2201 15.6519 90.00 90.00 90.00
Space group P2_12_12_1 (No. 19)
One atom of each set of equivalent atoms:
Tl 0.0625 0.0857 0.2839 [4 per cell]
Tl 0.0860 0.1668 0.9782 [4 per cell]
Tl 0.2289 0.7054 0.0513 [4 per cell]
Pb 0.0771 0.5485 0.7937 [4 per cell]
Br 0.0749 0.9956 0.5264 [4 per cell]
Br 0.0858 0.8535 0.8647 [4 per cell]
Br 0.1022 0.4434 0.3890 [4 per cell]
Br 0.2207 0.2128 0.7745 [4 per cell]
Br 0.2330 0.3481 0.1491 [4 per cell]

Peak list (10 most intense, 10° ≤ 2θ ≤ 90°, sorted by position)
21.84 deg, rel. 32.4
23.40 deg, rel. 32.5
28.27 deg, rel. 33.7
28.48 deg, rel. 100.0
31.27 deg, rel. 28.1
31.41 deg, rel. 46.5
31.72 deg, rel. 44.3
31.91 deg, rel. 74.5
33.03 deg, rel. 56.5
42.90 deg, rel. 27.0

For VPbBr4, a crystal structure in Alexandria, relaxed with PBE gives the calculated powder XRD pattern in this record (λ = 1.5418 Å (Cu Kα)).

Crystal structure
Lattice parameters (Å, degrees): 13.5820 4.0675 7.3838 90.00 101.03 90.00
Space group C2/m (No. 12)
One atom of each set of equivalent atoms:
V 0.0000 0.0000 0.0000 [2 per cell]
Pb 0.0000 0.5000 0.5000 [2 per cell]
Br 0.1091 0.5000 0.9022 [4 per cell]
Br 0.1215 0.0000 0.3290 [4 per cell]

Peak list (10 most intense, 10° ≤ 2θ ≤ 90°, sorted by position)
13.28 deg, rel. 99.4
25.37 deg, rel. 33.1
30.24 deg, rel. 50.2
30.74 deg, rel. 100.0
32.83 deg, rel. 24.3
40.38 deg, rel. 18.7
42.95 deg, rel. 31.2
44.38 deg, rel. 36.0
44.55 deg, rel. 19.2
54.80 deg, rel. 22.6

For PdBr2, a crystal structure in Alexandria, relaxed with PBE gives the calculated powder XRD pattern in this record (λ = 1.5418 Å (Cu Kα)).

Crystal structure
Lattice parameters (Å, degrees): 13.3468 4.7286 6.6435 90.00 99.06 90.00
Space group C2/c (No. 15)
One atom of each set of equivalent atoms:
Pd 0.0000 0.0000 0.0000 [4 per cell]
Br 0.1270 0.1517 0.2902 [8 per cell]

Peak list (10 most intense, 10° ≤ 2θ ≤ 90°, sorted by position)
13.44 deg, rel. 43.8
19.95 deg, rel. 100.0
23.55 deg, rel. 28.7
32.35 deg, rel. 30.8
35.44 deg, rel. 24.3
36.80 deg, rel. 12.8
40.55 deg, rel. 17.5
41.51 deg, rel. 19.1
41.81 deg, rel. 14.3
44.88 deg, rel. 14.8

For Pm3PdBr, a crystal structure in Alexandria, relaxed with PBE gives the calculated powder XRD pattern in this record (λ = 1.5418 Å (Cu Kα)).

Crystal structure
Lattice parameters (Å, degrees): 3.9178 10.0992 7.7462 90.00 90.00 90.00
Space group Pmmn (No. 59, origin choice 2)
One atom of each set of equivalent atoms:
Pm 0.2500 0.0624 0.1747 [4 per cell]
Pm 0.2500 0.2500 0.7393 [2 per cell]
Pd 0.2500 0.7500 0.0022 [2 per cell]
Br 0.2500 0.7500 0.5732 [2 per cell]

Peak list (10 most intense, 10° ≤ 2θ ≤ 90°, sorted by position)
11.42 deg, rel. 49.2
28.92 deg, rel. 55.9
31.11 deg, rel. 100.0
32.51 deg, rel. 35.3
33.73 deg, rel. 81.9
35.15 deg, rel. 26.6
39.19 deg, rel. 21.4
46.35 deg, rel. 24.5
55.57 deg, rel. 20.6
56.50 deg, rel. 29.1

For Pm2PdBr2, a crystal structure in Alexandria, relaxed with PBE gives the calculated powder XRD pattern in this record (λ = 1.5418 Å (Cu Kα)).

Crystal structure
Lattice parameters (Å, degrees): 4.1059 4.1059 33.2513 90.00 90.00 120.00
Space group R-3m (No. 166, hexagonal axes)
One atom of each set of equivalent atoms:
Pm 0.0000 0.0000 0.1154 [6 per cell]
Pd 0.0000 0.0000 0.5000 [3 per cell]
Br 0.0000 0.0000 0.2764 [6 per cell]

Peak list (10 most intense, 10° ≤ 2θ ≤ 90°, sorted by position)
28.46 deg, rel. 100.0
33.16 deg, rel. 46.5
37.01 deg, rel. 17.3
43.59 deg, rel. 37.7
44.11 deg, rel. 40.1
53.34 deg, rel. 17.1
63.75 deg, rel. 12.1
68.31 deg, rel. 18.9
71.63 deg, rel. 14.0
80.78 deg, rel. 12.4

For PmPd2Br6, a crystal structure in Alexandria, relaxed with PBE gives the calculated powder XRD pattern in this record (λ = 1.5418 Å (Cu Kα)).

Crystal structure
Lattice parameters (Å, degrees): 13.1689 14.1177 7.2071 90.00 104.75 90.00
Space group C2/c (No. 15)
One atom of each set of equivalent atoms:
Pm 0.0000 0.0801 0.2500 [4 per cell]
Pd 0.2479 0.4268 0.5317 [8 per cell]
Br 0.1068 0.0973 0.6546 [8 per cell]
Br 0.1413 0.4751 0.7614 [8 per cell]
Br 0.1650 0.1999 0.2264 [8 per cell]

Peak list (10 most intense, 10° ≤ 2θ ≤ 90°, sorted by position)
12.54 deg, rel. 100.0
14.29 deg, rel. 56.6
17.89 deg, rel. 33.2
22.88 deg, rel. 28.8
24.81 deg, rel. 52.1
28.31 deg, rel. 30.1
28.80 deg, rel. 37.3
33.34 deg, rel. 55.3
37.86 deg, rel. 35.6
43.82 deg, rel. 36.0

For PrPdBr, a crystal structure in Alexandria, relaxed with PBE gives the calculated powder XRD pattern in this record (λ = 1.5418 Å (Cu Kα)).

Crystal structure
Lattice parameters (Å, degrees): 4.3856 4.3856 33.4044 90.00 90.00 120.00
Space group R-3m (No. 166, hexagonal axes)
One atom of each set of equivalent atoms:
Pr 0.0000 0.0000 0.0589 [6 per cell]
Pd 0.0000 0.0000 0.3447 [6 per cell]
Br 0.0000 0.0000 0.2194 [6 per cell]

Peak list (10 most intense, 10° ≤ 2θ ≤ 90°, sorted by position)
23.58 deg, rel. 16.1
30.07 deg, rel. 100.0
31.85 deg, rel. 17.1
35.80 deg, rel. 27.5
41.17 deg, rel. 54.0
41.99 deg, rel. 14.4
44.86 deg, rel. 13.4
51.82 deg, rel. 21.4
65.94 deg, rel. 13.8
68.22 deg, rel. 18.5

For Pr8PdRu3Br4, a crystal structure in Alexandria, relaxed with PBE gives the calculated powder XRD pattern in this record (λ = 1.5418 Å (Cu Kα)).

Crystal structure
Lattice parameters (Å, degrees): 8.2719 8.2719 23.8318 90.00 90.00 120.00
Space group R-3m (No. 166, hexagonal axes)
One atom of each set of equivalent atoms:
Pr 0.0000 0.0000 0.2335 [6 per cell]
Pr 0.0125 0.5062 0.7673 [18 per cell]
Pd 0.0000 0.0000 0.5000 [3 per cell]
Ru 0.0000 0.5000 0.5000 [9 per cell]
Br 0.0000 0.0000 0.0000 [3 per cell]
Br 0.0000 0.5000 0.0000 [9 per cell]

Peak list (10 most intense, 10° ≤ 2θ ≤ 90°, sorted by position)
11.14 deg, rel. 20.0
29.09 deg, rel. 100.0
36.41 deg, rel. 13.1
39.34 deg, rel. 31.2
43.78 deg, rel. 35.9
49.15 deg, rel. 9.6
53.42 deg, rel. 17.7
56.43 deg, rel. 11.9
71.46 deg, rel. 14.5
77.43 deg, rel. 8.9